Starting from a crystal structure in Alexandria, relaxed with GGA-PBE, the powder XRD pattern of Ho4Pt2Rh was simulated for a wavelength of 1.5418 Å.

The 10 most intense peaks (2θ from 5° to 70°), by angle:
- 11.13°, I 3
- 21.46°, I 2
- 22.41°, I 14
- 25.94°, I 3
- 37.01°, I 100
- 43.69°, I 8
- 53.33°, I 18
- 58.50°, I 2
- 66.57°, I 9
- 66.73°, I 27

Structure:
Cell lengths 8.4281, 8.4281, 8.4281 Å; angles 33.47, 33.47, 33.47 degrees
Atoms (fractional coordinates):
Ho: 0.1244 0.1244 0.1244
Ho: 0.3746 0.3746 0.3746
Ho: 0.6254 0.6254 0.6254
Ho: 0.8756 0.8756 0.8756
Pt: 0.2490 0.2490 0.2490
Pt: 0.7510 0.7510 0.7510
Rh: 0.0000 0.0000 0.0000

***

Starting from a crystal structure in Alexandria, relaxed with GGA-PBE, the powder XRD pattern of ZnCu4Pd4 was simulated for a wavelength of 1.5418 Å.

The 10 most intense peaks (2θ from 5° to 70°), by angle:
- 15.76°, I 2
- 25.36°, I 2
- 31.84°, I 3
- 34.06°, I 4
- 41.13°, I 100
- 46.39°, I 18
- 48.58°, I 30
- 57.36°, I 1
- 67.84°, I 2
- 69.44°, I 19

Structure:
Cell lengths 5.9529, 5.9529, 5.9529 Å; angles 96.21, 96.21, 141.61 degrees
Atoms (fractional coordinates):
Zn: 0.0000 0.0000 0.0000
Cu: 0.3353 0.3353 0.6705
Cu: 0.3353 0.6647 0.0000
Cu: 0.6647 0.3353 0.0000
Cu: 0.6647 0.6647 0.3295
Pd: 0.0000 0.3217 0.3217
Pd: 0.0000 0.6783 0.6783
Pd: 0.3217 0.0000 0.3217
Pd: 0.6783 0.0000 0.6783

***

Starting from a crystal structure in Alexandria, relaxed with GGA-PBE, the powder XRD pattern of Li3Ag7Sn2 was simulated for a wavelength of 1.5418 Å.

The 10 most intense peaks (2θ from 5° to 70°), by angle:
- 23.30°, I 74
- 37.93°, I 100
- 38.41°, I 96
- 39.18°, I 45
- 39.21°, I 45
- 53.52°, I 18
- 55.92°, I 16
- 57.33°, I 14
- 68.31°, I 33
- 69.88°, I 31

Structure:
Cell lengths 4.7478, 4.7481, 10.1847 Å; angles 102.90, 102.88, 92.32 degrees
Atoms (fractional coordinates):
Li: 0.0000 0.0000 0.0000
Li: 0.3369 0.3352 0.6714
Li: 0.6631 0.6648 0.3286
Ag: 0.0793 0.5806 0.1601
Ag: 0.2483 0.7503 0.5000
Ag: 0.4186 0.9198 0.8399
Ag: 0.5000 0.5000 0.0000
Ag: 0.5814 0.0802 0.1601
Ag: 0.7517 0.2497 0.5000
Ag: 0.9207 0.4194 0.8399
Sn: 0.1653 0.1638 0.3271
Sn: 0.8347 0.8362 0.6729

***

Starting from a crystal structure in Alexandria, relaxed with GGA-PBE, the powder XRD pattern of TlZnSnCl5 was simulated for a wavelength of 1.5418 Å.

The 10 most intense peaks (2θ from 5° to 70°), by angle:
- 19.24°, I 81
- 21.18°, I 59
- 24.25°, I 100
- 30.71°, I 24
- 35.26°, I 19
- 36.91°, I 24
- 39.06°, I 29
- 42.50°, I 24
- 44.97°, I 25
- 45.32°, I 19

Structure:
Cell lengths 7.6518, 7.6518, 10.0830 Å; angles 104.28, 104.28, 106.08 degrees
Atoms (fractional coordinates):
Tl: 0.1533 0.8467 0.7500
Tl: 0.8467 0.1533 0.2500
Zn: 0.1843 0.8157 0.2500
Zn: 0.8157 0.1843 0.7500
Sn: 0.5000 0.5000 0.0000
Sn: 0.5000 0.5000 0.5000
Cl: 0.1022 0.2459 0.9288
Cl: 0.1684 0.5918 0.3668
Cl: 0.2459 0.1022 0.4288
Cl: 0.4074 0.5926 0.7500
Cl: 0.4082 0.8316 0.1332
Cl: 0.5918 0.1684 0.8668
Cl: 0.5926 0.4074 0.2500
Cl: 0.7541 0.8978 0.5712
Cl: 0.8316 0.4082 0.6332
Cl: 0.8978 0.7541 0.0712

***

Starting from a crystal structure in Alexandria, relaxed with GGA-PBE, the powder XRD pattern of V9Pt4Rh11 was simulated for a wavelength of 1.5418 Å.

The 10 most intense peaks (2θ from 5° to 70°), by angle:
- 8.11°, I 30
- 25.18°, I 30
- 38.61°, I 54
- 39.76°, I 100
- 39.84°, I 24
- 41.39°, I 58
- 41.60°, I 31
- 42.29°, I 67
- 44.32°, I 69
- 47.30°, I 26

Structure:
Cell lengths 11.4001, 11.4001, 2.7513 Å; angles 90.00, 90.00, 106.91 degrees
Atoms (fractional coordinates):
V: 0.0000 0.0000 0.0000
V: 0.0880 0.6591 0.0000
V: 0.3023 0.4989 0.0000
V: 0.3409 0.9120 0.0000
V: 0.4989 0.3023 0.0000
V: 0.5011 0.6977 0.0000
V: 0.6591 0.0880 0.0000
V: 0.6977 0.5011 0.0000
V: 0.9120 0.3409 0.0000
Pt: 0.0837 0.2393 0.0000
Pt: 0.2393 0.0837 0.0000
Pt: 0.7607 0.9163 0.0000
Pt: 0.9163 0.7607 0.0000
Rh: 0.1061 0.4701 0.5000
Rh: 0.1361 0.8639 0.5000
Rh: 0.2972 0.7028 0.5000
Rh: 0.3052 0.3052 0.5000
Rh: 0.4701 0.1061 0.5000
Rh: 0.5000 0.5000 0.5000
Rh: 0.5299 0.8939 0.5000
Rh: 0.6948 0.6948 0.5000
Rh: 0.7028 0.2972 0.5000
Rh: 0.8639 0.1361 0.5000
Rh: 0.8939 0.5299 0.5000

***

Starting from a crystal structure in Alexandria, relaxed with GGA-PBE, the powder XRD pattern of HoZn3Au was simulated for a wavelength of 1.5418 Å.

The 10 most intense peaks (2θ from 5° to 70°), by angle:
- 20.13°, I 22
- 28.78°, I 31
- 37.17°, I 60
- 37.49°, I 42
- 37.74°, I 100
- 38.47°, I 47
- 45.80°, I 20
- 48.74°, I 15
- 61.87°, I 12
- 63.25°, I 17

Structure:
Cell lengths 4.9673, 4.9673, 4.6815 Å; angles 117.38, 117.38, 77.30 degrees
Atoms (fractional coordinates):
Ho: 0.0000 0.0000 0.0000
Zn: 0.2974 0.6914 0.4938
Zn: 0.6914 0.2974 0.4938
Zn: 0.7031 0.7031 0.2086
Au: 0.2998 0.2998 0.7963